No. 1
Starting from a crystal structure in the Materials Project, relaxed with PBE, the powder XRD pattern of KNaMg6O7 was simulated for Cu Kα.
No peak broadening, texture or thermal motion is included.

Crystal structure
```
data_KNaMg6O7
_chemical_formula_sum 'K1 Na1 Mg6 O7'
_symmetry_space_group_name_H-M 'P 4 m m'
_symmetry_Int_Tables_number 99
_cell_length_a 4.586
_cell_length_b 4.586
_cell_length_c 8.559
_cell_angle_alpha 90.00
_cell_angle_beta 90.00
_cell_angle_gamma 90.00
loop_
_symmetry_equiv_pos_as_xyz
'x,y,z'
'-y,x,z'
'-x,-y,z'
'y,-x,z'
'-x,y,z'
'y,x,z'
'x,-y,z'
'-y,-x,z'
loop_
_atom_site_label
_atom_site_fract_x
_atom_site_fract_y
_atom_site_fract_z
_atom_site_occupancy
K1 0.000 0.000 0.000 1
Na1 0.500 0.500 0.987 1
Mg1 0.000 0.000 0.498 1
Mg2 0.000 0.500 0.229 1
Mg3 0.000 0.500 0.751 1
Mg4 0.500 0.500 0.485 1
O1 0.000 0.000 0.720 1
O2 0.000 0.500 0.465 1
O3 0.000 0.500 0.999 1
O4 0.500 0.500 0.251 1
O5 0.500 0.500 0.718 1
```

Main lines, low angle first (10 to 80 degrees two-theta):
- 2θ 21.99, intensity 5, (1 0 1)
- 2θ 28.53, intensity 6, (1 0 2)
- 2θ 34.71, intensity 29, (1 1 2)
- 2θ 39.29, intensity 100, (2 0 0)
- 2θ 42.23, intensity 39, (0 0 4)
- 2θ 56.78, intensity 29, (2 2 0)
- 2θ 59.05, intensity 46, (2 0 4)
- 2θ 68.28, intensity 10, (3 1 2)
- 2θ 72.37, intensity 5, (1 1 6)
- 2θ 73.24, intensity 22, (2 2 4)

=====

No. 2
Starting from a crystal structure in the Materials Project, relaxed with PBE, the powder XRD pattern of NaCaScZnSi4O12 was simulated for Cu Kα.
No peak broadening, texture or thermal motion is included.

Crystal structure
```
data_NaCaScZnSi4O12
_chemical_formula_sum 'Na2 Ca2 Sc2 Zn2 Si8 O24'
_symmetry_space_group_name_H-M 'C 1 2 1'
_symmetry_Int_Tables_number 5
_cell_length_a 9.961
_cell_length_b 9.106
_cell_length_c 5.353
_cell_angle_alpha 90.00
_cell_angle_beta 106.43
_cell_angle_gamma 90.00
loop_
_symmetry_equiv_pos_as_xyz
'x,y,z'
'-x,y,-z'
'x+1/2,y+1/2,z'
'-x+1/2,y+1/2,-z'
loop_
_atom_site_label
_atom_site_fract_x
_atom_site_fract_y
_atom_site_fract_z
_atom_site_occupancy
Na1 0.000 0.000 0.000 1
Ca1 0.000 0.398 0.500 1
Sc1 0.000 0.800 0.500 1
Zn1 0.000 0.598 0.000 1
Si1 0.212 0.108 0.513 1
Si2 0.212 0.288 0.015 1
O1 0.117 0.611 0.401 1
O2 0.118 0.781 0.892 1
O3 0.138 0.444 0.928 1
O4 0.140 0.949 0.439 1
O5 0.150 0.214 0.247 1
O6 0.151 0.187 0.740 1
```

Main lines, low angle first (10 to 80 degrees two-theta):
- 2θ 13.43, intensity 34, (1 1 0)
- 2θ 29.20, intensity 100, (2 2 -1)
- 2θ 29.72, intensity 40, (3 1 0)
- 2θ 34.25, intensity 27, (1 3 -1)
- 2θ 34.95, intensity 40, (0 0 2)
- 2θ 35.11, intensity 42, (2 2 1)
- 2θ 40.11, intensity 15, (1 1 2)
- 2θ 41.43, intensity 21, (3 3 -1)
- 2θ 55.46, intensity 18, (2 2 -3)
- 2θ 64.42, intensity 17, (5 3 1)

=====

No. 3
Starting from a crystal structure in the Materials Project, relaxed with PBE, the powder XRD pattern of PrSmIr2 was simulated for Cu Kα.
No peak broadening, texture or thermal motion is included.

Crystal structure
```
data_PrSmIr2
_chemical_formula_sum 'Pr4 Sm4 Ir8'
_symmetry_space_group_name_H-M 'F m -3 m'
_symmetry_Int_Tables_number 225
_symmetry_space_group_name_Hall '-F 4 2 3'
_cell_length_a 7.085
_cell_length_b 7.085
_cell_length_c 7.085
_cell_angle_alpha 90.00
_cell_angle_beta 90.00
_cell_angle_gamma 90.00
loop_
_atom_site_label
_atom_site_fract_x
_atom_site_fract_y
_atom_site_fract_z
_atom_site_occupancy
Pr1 0.000 0.000 0.000 1
Sm1 0.000 0.000 0.500 1
Ir1 0.250 0.250 0.250 1
```

Main lines, low angle first (10 to 80 degrees two-theta):
- 2θ 25.14, intensity 2, (2 0 0)
- 2θ 35.85, intensity 100, (2 2 0)
- 2θ 44.29, intensity 1, (2 2 2)
- 2θ 51.60, intensity 18, (4 0 0)
- 2θ 58.24, intensity 1, (4 2 0)
- 2θ 64.43, intensity 37, (4 2 2)
- 2θ 75.98, intensity 11, (4 4 0)

=====

No. 4
Starting from a crystal structure in the Materials Project, relaxed with PBE, the powder XRD pattern of DyB12 was simulated for Cu Kα.
No peak broadening, texture or thermal motion is included.

Crystal structure
```
data_DyB12
_chemical_formula_sum 'Dy4 B48'
_symmetry_space_group_name_H-M 'F m -3 m'
_symmetry_Int_Tables_number 225
_symmetry_space_group_name_Hall '-F 4 2 3'
_cell_length_a 7.498
_cell_length_b 7.498
_cell_length_c 7.498
_cell_angle_alpha 90.00
_cell_angle_beta 90.00
_cell_angle_gamma 90.00
loop_
_atom_site_label
_atom_site_fract_x
_atom_site_fract_y
_atom_site_fract_z
_atom_site_occupancy
Dy1 0.000 0.000 0.000 1
B1 0.000 0.169 0.331 1
```

Main lines, low angle first (10 to 80 degrees two-theta):
- 2θ 20.52, intensity 95, (1 1 1)
- 2θ 23.73, intensity 73, (2 0 0)
- 2θ 33.81, intensity 43, (2 2 0)
- 2θ 39.88, intensity 100, (3 1 1)
- 2θ 41.73, intensity 30, (2 2 2)
- 2θ 53.25, intensity 33, (3 3 1)
- 2θ 54.75, intensity 24, (4 2 0)
- 2θ 60.49, intensity 29, (4 2 2)
- 2θ 74.93, intensity 31, (5 3 1)
- 2θ 76.18, intensity 21, (6 0 0)

=====

No. 5
Starting from a crystal structure in the Materials Project, relaxed with PBE, the powder XRD pattern of RbZr6CI14 was simulated for Cu Kα.
No peak broadening, texture or thermal motion is included.

Crystal structure
```
data_RbZr6CI14
_chemical_formula_sum 'Rb4 Zr24 C4 I56'
_symmetry_space_group_name_H-M 'C m c e'
_symmetry_Int_Tables_number 64
_symmetry_space_group_name_Hall '-C 2ac 2'
_cell_length_a 16.157
_cell_length_b 14.832
_cell_length_c 13.141
_cell_angle_alpha 90.00
_cell_angle_beta 90.00
_cell_angle_gamma 90.00
loop_
_atom_site_label
_atom_site_fract_x
_atom_site_fract_y
_atom_site_fract_z
_atom_site_occupancy
Rb1 0.000 0.000 0.000 1
Zr1 0.000 0.128 0.406 1
Zr2 0.103 0.062 0.606 1
C1 0.000 0.000 0.500 1
I1 0.000 0.153 0.759 1
I2 0.123 0.088 0.253 1
I3 0.124 0.237 0.506 1
I4 0.249 0.000 0.500 1
I5 0.250 0.148 0.750 1
```

Main lines, low angle first (10 to 80 degrees two-theta):
- 2θ 10.53, intensity 60, (1 1 1)
- 2θ 26.02, intensity 43, (4 2 1)
- 2θ 27.14, intensity 39, (0 0 4)
- 2θ 27.62, intensity 84, (0 4 2)
- 2θ 28.60, intensity 100, (4 2 2)
- 2θ 31.61, intensity 30, (0 4 3)
- 2θ 32.48, intensity 91, (4 2 3)
- 2θ 42.89, intensity 45, (4 6 0)
- 2θ 48.87, intensity 30, (4 2 6)
- 2θ 51.50, intensity 30, (4 6 4)

=====

No. 6
Starting from a crystal structure in the Materials Project, relaxed with PBE, the powder XRD pattern of K3IO5 was simulated for Cu Kα.
No peak broadening, texture or thermal motion is included.

Crystal structure
```
data_K3IO5
_chemical_formula_sum 'K6 I2 O10'
_symmetry_space_group_name_H-M 'P 4/n m m'
_symmetry_Int_Tables_number 129
_cell_length_a 6.319
_cell_length_b 6.319
_cell_length_c 8.337
_cell_angle_alpha 90.00
_cell_angle_beta 90.00
_cell_angle_gamma 90.00
loop_
_symmetry_equiv_pos_as_xyz
'x,y,z'
'-x,-y,-z'
'-y+1/2,x,z'
'y+1/2,-x,-z'
'-x+1/2,-y+1/2,z'
'x+1/2,y+1/2,-z'
'y,-x+1/2,z'
'-y,x+1/2,-z'
'x+1/2,-y,-z'
'-x+1/2,y,z'
'-y,-x,-z'
'y,x,z'
'-x,y+1/2,-z'
'x,-y+1/2,z'
'y+1/2,x+1/2,-z'
'-y+1/2,-x+1/2,z'
loop_
_atom_site_label
_atom_site_fract_x
_atom_site_fract_y
_atom_site_fract_z
_atom_site_occupancy
K1 0.250 0.250 0.218 1
K2 0.250 0.750 0.000 1
K3 0.250 0.750 0.500 1
I1 0.250 0.250 0.743 1
O1 0.044 0.044 0.789 1
O2 0.250 0.250 0.524 1
```

Main lines, low angle first (10 to 80 degrees two-theta):
- 2θ 17.61, intensity 72, (1 0 1)
- 2θ 19.87, intensity 27, (1 1 0)
- 2θ 21.32, intensity 16, (0 0 2)
- 2θ 28.24, intensity 44, (2 0 0)
- 2θ 29.30, intensity 100, (1 1 2)
- 2θ 33.48, intensity 13, (2 1 1)
- 2θ 40.37, intensity 36, (2 2 0)
- 2θ 50.66, intensity 35, (3 1 2)
- 2θ 52.60, intensity 16, (2 0 4)
- 2θ 60.77, intensity 15, (2 2 4)

=====

No. 7
Starting from a crystal structure in the Materials Project, relaxed with PBE, the powder XRD pattern of Ba7TiN6 was simulated for Cu Kα.
No peak broadening, texture or thermal motion is included.

Crystal structure
```
data_Ba7TiN6
_chemical_formula_sum 'Ba28 Ti4 N24'
_symmetry_space_group_name_H-M 'P b c n'
_symmetry_Int_Tables_number 60
_cell_length_a 12.636
_cell_length_b 7.071
_cell_length_c 14.590
_cell_angle_alpha 90.00
_cell_angle_beta 90.00
_cell_angle_gamma 90.00
loop_
_symmetry_equiv_pos_as_xyz
'x,y,z'
'-x,-y,-z'
'-x+1/2,-y+1/2,z+1/2'
'x+1/2,y+1/2,-z+1/2'
'x+1/2,-y+1/2,-z'
'-x+1/2,y+1/2,z'
'-x,y,-z+1/2'
'x,-y,z+1/2'
loop_
_atom_site_label
_atom_site_fract_x
_atom_site_fract_y
_atom_site_fract_z
_atom_site_occupancy
Ba1 0.000 0.071 0.250 1
Ba2 0.034 0.242 0.520 1
Ba3 0.213 0.402 0.126 1
Ba4 0.227 0.336 0.873 1
Ti1 0.000 0.423 0.750 1
N1 0.052 0.420 0.351 1
N2 0.117 0.257 0.710 1
N3 0.163 0.102 0.002 1
```

Main lines, low angle first (10 to 80 degrees two-theta):
- 2θ 26.89, intensity 22, (1 2 1)
- 2θ 28.05, intensity 12, (0 2 2)
- 2θ 28.25, intensity 100, (2 0 4)
- 2θ 31.48, intensity 19, (2 2 2)
- 2θ 31.62, intensity 24, (4 1 1)
- 2θ 32.09, intensity 19, (1 2 3)
- 2θ 33.66, intensity 10, (3 2 1)
- 2θ 48.85, intensity 10, (6 1 3)
- 2θ 50.01, intensity 13, (0 0 8)
- 2θ 54.26, intensity 11, (2 4 1)

=====

No. 8
Starting from a crystal structure in the Materials Project, relaxed with PBE, the powder XRD pattern of GaP was simulated for Cu Kα.
No peak broadening, texture or thermal motion is included.

Crystal structure
```
data_GaP
_chemical_formula_sum 'Ga4 P4'
_symmetry_space_group_name_H-M 'F -4 3 m'
_symmetry_Int_Tables_number 216
_symmetry_space_group_name_Hall 'F -4 2 3'
_cell_length_a 5.506
_cell_length_b 5.506
_cell_length_c 5.506
_cell_angle_alpha 90.00
_cell_angle_beta 90.00
_cell_angle_gamma 90.00
loop_
_atom_site_label
_atom_site_fract_x
_atom_site_fract_y
_atom_site_fract_z
_atom_site_occupancy
Ga1 0.000 0.000 0.000 1
P1 0.250 0.250 0.750 1
```

Main lines, low angle first (10 to 80 degrees two-theta):
- 2θ 28.07, intensity 100, (1 1 1)
- 2θ 32.52, intensity 14, (2 0 0)
- 2θ 46.66, intensity 61, (2 2 0)
- 2θ 55.34, intensity 42, (3 1 1)
- 2θ 58.02, intensity 4, (2 2 2)
- 2θ 68.12, intensity 9, (4 0 0)
- 2θ 75.22, intensity 17, (3 3 1)
- 2θ 77.53, intensity 4, (4 2 0)

=====

No. 9
Starting from a crystal structure in the Materials Project, relaxed with PBE, the powder XRD pattern of Al2Pb3N4 was simulated for Cu Kα.
No peak broadening, texture or thermal motion is included.

Crystal structure
```
data_Al2Pb3N4
_chemical_formula_sum 'Al8 Pb12 N16'
_symmetry_space_group_name_H-M 'C 1 2/c 1'
_symmetry_Int_Tables_number 15
_cell_length_a 13.988
_cell_length_b 8.837
_cell_length_c 5.697
_cell_angle_alpha 90.00
_cell_angle_beta 104.72
_cell_angle_gamma 90.00
loop_
_symmetry_equiv_pos_as_xyz
'x,y,z'
'-x,-y,-z'
'-x,y,-z+1/2'
'x,-y,z+1/2'
'x+1/2,y+1/2,z'
'-x+1/2,-y+1/2,-z'
'-x+1/2,y+1/2,-z+1/2'
'x+1/2,-y+1/2,z+1/2'
loop_
_atom_site_label
_atom_site_fract_x
_atom_site_fract_y
_atom_site_fract_z
_atom_site_occupancy
Al1 0.240 0.104 0.422 1
Pb1 0.000 0.368 0.250 1
Pb2 0.128 0.251 0.870 1
N1 0.149 0.253 0.475 1
N2 0.241 0.076 0.091 1
```

Main lines, low angle first (10 to 80 degrees two-theta):
- 2θ 11.96, intensity 49, (1 1 0)
- 2θ 18.70, intensity 44, (1 1 -1)
- 2θ 20.10, intensity 77, (0 2 0)
- 2θ 30.36, intensity 100, (3 1 1)
- 2θ 31.81, intensity 64, (2 0 -2)
- 2θ 33.36, intensity 49, (4 2 0)
- 2θ 34.36, intensity 66, (1 3 -1)
- 2θ 34.53, intensity 70, (5 1 -1)
- 2θ 37.91, intensity 33, (2 2 -2)
- 2θ 49.27, intensity 40, (4 4 0)

=====

No. 10
Starting from a crystal structure in the Materials Project, relaxed with PBE, the powder XRD pattern of Al2HgS4 was simulated for Cu Kα.
No peak broadening, texture or thermal motion is included.

Crystal structure
```
data_Al2HgS4
_chemical_formula_sum 'Al4 Hg2 S8'
_symmetry_space_group_name_H-M 'I -4'
_symmetry_Int_Tables_number 82
_cell_length_a 5.633
_cell_length_b 5.633
_cell_length_c 10.319
_cell_angle_alpha 90.00
_cell_angle_beta 90.00
_cell_angle_gamma 90.00
loop_
_symmetry_equiv_pos_as_xyz
'x,y,z'
'y,-x,-z'
'-x,-y,z'
'-y,x,-z'
'x+1/2,y+1/2,z+1/2'
'y+1/2,-x+1/2,-z+1/2'
'-x+1/2,-y+1/2,z+1/2'
'-y+1/2,x+1/2,-z+1/2'
loop_
_atom_site_label
_atom_site_fract_x
_atom_site_fract_y
_atom_site_fract_z
_atom_site_occupancy
Al1 0.000 0.000 0.000 1
Al2 0.000 0.500 0.250 1
Hg1 0.000 0.000 0.500 1
S1 0.219 0.767 0.135 1
```

Main lines, low angle first (10 to 80 degrees two-theta):
- 2θ 17.19, intensity 32, (0 0 2)
- 2θ 17.94, intensity 90, (1 0 1)
- 2θ 22.32, intensity 44, (1 1 0)
- 2θ 28.30, intensity 100, (1 1 2)
- 2θ 30.45, intensity 37, (1 0 3)
- 2θ 36.34, intensity 30, (2 0 2)
- 2θ 36.72, intensity 44, (1 2 1)
- 2θ 45.54, intensity 23, (2 2 0)
- 2θ 47.81, intensity 40, (2 0 4)
- 2θ 54.49, intensity 30, (1 3 2)

=====

No. 11
Starting from a crystal structure in the Materials Project, relaxed with PBE, the powder XRD pattern of Cr2B2Ir was simulated for Cu Kα.
No peak broadening, texture or thermal motion is included.

Crystal structure
```
data_Cr2B2Ir
_chemical_formula_sum 'Cr8 B8 Ir4'
_symmetry_space_group_name_H-M 'P n n m'
_symmetry_Int_Tables_number 58
_cell_length_a 7.207
_cell_length_b 9.333
_cell_length_c 2.906
_cell_angle_alpha 90.00
_cell_angle_beta 90.00
_cell_angle_gamma 90.00
loop_
_symmetry_equiv_pos_as_xyz
'x,y,z'
'-x,-y,-z'
'-x,-y,z'
'x,y,-z'
'x+1/2,-y+1/2,-z+1/2'
'-x+1/2,y+1/2,z+1/2'
'-x+1/2,y+1/2,-z+1/2'
'x+1/2,-y+1/2,z+1/2'
loop_
_atom_site_label
_atom_site_fract_x
_atom_site_fract_y
_atom_site_fract_z
_atom_site_occupancy
Cr1 0.064 0.139 0.000 1
Cr2 0.192 0.361 0.500 1
B1 0.116 0.963 0.500 1
B2 0.124 0.773 0.500 1
Ir1 0.124 0.605 0.000 1
```

Main lines, low angle first (10 to 80 degrees two-theta):
- 2θ 15.53, intensity 47, (1 1 0)
- 2θ 22.70, intensity 29, (1 2 0)
- 2θ 33.25, intensity 30, (1 0 1)
- 2θ 34.65, intensity 22, (1 1 1)
- 2θ 38.22, intensity 16, (2 3 0)
- 2θ 38.59, intensity 29, (0 4 0)
- 2θ 38.70, intensity 17, (3 1 0)
- 2θ 42.31, intensity 27, (3 2 0)
- 2θ 44.51, intensity 100, (2 2 1)
- 2θ 51.83, intensity 17, (1 4 1)